# SrMnSe4O12
Simulated X-ray diffraction stick pattern, Cu Kα X-rays. Input: a DFT-relaxed cell (GGA+U, Alexandria).
No peak broadening, texture or thermal motion is included.

Structural model:
Cell lengths 7.4319, 5.8003, 5.8003 Å; angles 81.49, 90.00, 90.00 degrees
Sites, in units of the cell vectors:
Sr 0.0000 0.0000 0.0000
Mn 0.5000 0.5963 0.5963
Se 0.2568 0.0591 0.5172
Se 0.2568 0.5172 0.0591
Se 0.7432 0.0591 0.5172
Se 0.7432 0.5172 0.0591
O 0.0000 0.1131 0.5639
O 0.0000 0.5639 0.1131
O 0.2409 0.7450 0.7450
O 0.2574 0.2885 0.9179
O 0.2574 0.9179 0.2885
O 0.3176 0.3777 0.3777
O 0.5000 0.0056 0.6182
O 0.5000 0.6182 0.0056
O 0.6824 0.3777 0.3777
O 0.7426 0.2885 0.9179
O 0.7426 0.9179 0.2885
O 0.7591 0.7450 0.7450

Principal peaks in the range 2θ = 10–90°, sorted by position:
d_spacing	intensity
4.541	79
4.394	62
3.785	38
3.716	33
2.868	100
2.837	85
2.652	73
1.892	32
1.575	32
1.559	33